Structure and theoretical X-ray powder pattern of CaZrN2 (DFT lattice parameters and positions (GGA-PBE); Cu Kα (weighted mean of Kα1 and Kα2)).
Kinematic intensities with the Lorentz-polarization factor, no thermal factor.

The 6 most intense peaks (10° ≤ 2θ ≤ 90°), most intense first:
- 37.8 deg, intensity 100.0
- 32.8 deg, intensity 67.1
- 15.7 deg, intensity 37.1
- 53.8 deg, intensity 31.5
- 55.1 deg, intensity 30.4
- 31.8 deg, intensity 25.3

Structure:
```
12
Lattice="3.3314 0.0000 0.0000 -1.6657 2.8851 0.0000 0.0000 0.0000 16.8936" Properties=species:S:1:pos:R:3 pbc="T T T"
Ca 0.0000 0.0000 0.0000
Ca 0.0000 1.9234 11.2624
Ca 1.6657 0.9617 5.6312
Zr 0.0000 0.0000 8.4468
Zr 0.0000 1.9234 2.8156
Zr 1.6657 0.9617 14.0780
N 0.0000 0.0000 4.0340
N 0.0000 0.0000 12.8596
N 0.0000 1.9234 7.2284
N 0.0000 1.9234 15.2964
N 1.6657 0.9617 1.5972
N 1.6657 0.9617 9.6652
```

Structure and theoretical X-ray powder pattern of Ca3Zr2N4 (DFT lattice parameters and positions (GGA-PBE); Cu Kα (weighted mean of Kα1 and Kα2)).
Kinematic intensities with the Lorentz-polarization factor, no thermal factor.

The 6 most intense peaks (10° ≤ 2θ ≤ 90°), most intense first:
- 10.6 deg, intensity 100.0
- 30.0 deg, intensity 47.1
- 28.6 deg, intensity 42.3
- 30.8 deg, intensity 37.7
- 19.7 deg, intensity 36.6
- 29.5 deg, intensity 34.1

Structure:
```
18
Lattice="8.4215 -3.5637 0.0000 8.4215 3.5637 0.0000 -0.7415 0.0000 6.4460" Properties=species:S:1:pos:R:3 pbc="T T T"
Ca 7.8654 2.9462 4.8345
Ca 5.8713 0.8658 2.7918
Ca 5.5006 -0.8658 6.0148
Ca 10.6010 0.8658 0.4312
Ca 10.2302 -0.8658 3.6542
Ca 8.2362 -2.9462 1.6115
Zr 3.0581 0.8216 0.3711
Zr 2.6873 -0.8216 3.5941
Zr 13.4142 0.8216 2.8519
Zr 13.0435 -0.8216 6.0749
N 2.0879 0.7175 2.2721
N 5.1275 0.8870 0.5865
N 1.7171 -0.7175 5.4951
N 4.7567 -0.8870 3.8095
N 11.3448 0.8870 2.6365
N 14.3844 0.7175 0.9509
N 10.9741 -0.8870 5.8595
N 14.0137 -0.7175 4.1739
```

Structure and theoretical X-ray powder pattern of Ca5Zr2N6 (DFT lattice parameters and positions (GGA-PBE); Cu Kα (weighted mean of Kα1 and Kα2)).
Kinematic intensities with the Lorentz-polarization factor, no thermal factor.

The 6 most intense peaks (10° ≤ 2θ ≤ 90°), most intense first:
- 22.7 deg, intensity 100.0
- 29.5 deg, intensity 79.3
- 31.7 deg, intensity 79.0
- 15.7 deg, intensity 68.8
- 13.9 deg, intensity 55.8
- 31.9 deg, intensity 47.5

Structure:
```
26
Lattice="5.4341 -3.4727 0.0000 5.4341 3.4727 0.0000 -4.4013 0.0000 12.7232" Properties=species:S:1:pos:R:3 pbc="T T T"
Ca 2.1332 2.8850 9.5424
Ca 2.3624 1.1282 3.6492
Ca 0.9298 1.7034 12.3557
Ca 3.3365 1.7034 6.7291
Ca 0.1618 -1.1282 10.0108
Ca 6.3052 1.1282 2.7124
Ca 3.1305 -1.7034 5.9941
Ca 5.5372 -1.7034 0.3675
Ca 4.1045 -1.1282 9.0740
Ca 4.3338 -2.8850 3.1808
Zr 0.5251 0.4277 7.1647
Zr 2.7258 -0.4277 0.8031
Zr 3.7412 0.4277 11.9201
Zr 5.9418 -0.4277 5.5585
N 0.2939 1.0155 5.1229
N 0.9822 0.0709 1.8669
N -1.2185 -0.0709 8.2285
N -1.9068 -1.0155 11.4844
N 4.5263 0.3776 1.3640
N 4.1414 0.3776 4.9976
N 2.3256 -0.3776 7.7256
N 1.9407 -0.3776 11.3592
N 8.3738 1.0155 1.2387
N 7.6854 0.0709 4.4947
N 5.4848 -0.0709 10.8563
N 6.1731 -1.0155 7.6003
```

Please write out number 3 again, unchanged.
Structure and theoretical X-ray powder pattern of Ca5Zr2N6 (DFT lattice parameters and positions (GGA-PBE); Cu Kα (weighted mean of Kα1 and Kα2)).
Kinematic intensities with the Lorentz-polarization factor, no thermal factor.

The 6 most intense peaks (10° ≤ 2θ ≤ 90°), most intense first:
- 22.7 deg, intensity 100.0
- 29.5 deg, intensity 79.3
- 31.7 deg, intensity 79.0
- 15.7 deg, intensity 68.8
- 13.9 deg, intensity 55.8
- 31.9 deg, intensity 47.5

Structure:
```
26
Lattice="5.4341 -3.4727 0.0000 5.4341 3.4727 0.0000 -4.4013 0.0000 12.7232" Properties=species:S:1:pos:R:3 pbc="T T T"
Ca 2.1332 2.8850 9.5424
Ca 2.3624 1.1282 3.6492
Ca 0.9298 1.7034 12.3557
Ca 3.3365 1.7034 6.7291
Ca 0.1618 -1.1282 10.0108
Ca 6.3052 1.1282 2.7124
Ca 3.1305 -1.7034 5.9941
Ca 5.5372 -1.7034 0.3675
Ca 4.1045 -1.1282 9.0740
Ca 4.3338 -2.8850 3.1808
Zr 0.5251 0.4277 7.1647
Zr 2.7258 -0.4277 0.8031
Zr 3.7412 0.4277 11.9201
Zr 5.9418 -0.4277 5.5585
N 0.2939 1.0155 5.1229
N 0.9822 0.0709 1.8669
N -1.2185 -0.0709 8.2285
N -1.9068 -1.0155 11.4844
N 4.5263 0.3776 1.3640
N 4.1414 0.3776 4.9976
N 2.3256 -0.3776 7.7256
N 1.9407 -0.3776 11.3592
N 8.3738 1.0155 1.2387
N 7.6854 0.0709 4.4947
N 5.4848 -0.0709 10.8563
N 6.1731 -1.0155 7.6003
```